(1)
Calculated PXRD pattern of CaNdAu4 for a wavelength of 1.5418 Å, from a DFT-relaxed cell (GGA-PBE, Alexandria).

Most intense lines, 2θ from 10° to 80°, by angle:
Position (°2θ), I_rel
21.51, 22
25.16, 45
31.38, 24
33.33, 95
33.43, 42
37.63, 55
37.89, 100
46.03, 44

Structural model:
a = 5.9212 Å, b = 5.9212 Å, c = 4.7810 Å
α = 113.75°, β = 113.75°, γ = 87.76°
Atoms (fractional coordinates):
Ca  0.0000  0.0000  0.0000
Nd  0.4265  0.5735  0.5000
Au  0.0171  0.4219  0.7184
Au  0.4177  0.1609  0.7903
Au  0.5781  0.9829  0.2816
Au  0.8391  0.5823  0.2097

***

(2)
Calculated PXRD pattern of K4UC3O11 for a wavelength of 1.5418 Å, from a DFT-relaxed cell (GGA-PBE, Alexandria).

Most intense lines, 2θ from 10° to 80°, by angle:
Position (°2θ), I_rel
14.26, 100
14.92, 53
16.99, 31
23.14, 26
25.63, 44
26.97, 26
27.76, 25
33.00, 28

Structural model:
a = 7.0184 Å, b = 7.0184 Å, c = 12.4431 Å
α = 93.43°, β = 93.43°, γ = 83.49°
Atoms (fractional coordinates):
K  0.0734  0.7132  0.9567
K  0.1660  0.4680  0.6572
K  0.2868  0.9266  0.5433
K  0.4680  0.1660  0.1572
K  0.5320  0.8340  0.8428
K  0.7132  0.0734  0.4567
K  0.8340  0.5320  0.3428
K  0.9266  0.2868  0.0433
U  0.2981  0.7019  0.2500
U  0.7019  0.2981  0.7500
C  0.0113  0.9887  0.7500
C  0.3308  0.4206  0.4140
C  0.4206  0.3308  0.9140
C  0.5794  0.6692  0.0860
C  0.6692  0.5794  0.5860
C  0.9887  0.0113  0.2500
O  0.0231  0.8918  0.3287
O  0.1082  0.9769  0.1713
O  0.1345  0.5419  0.1791
O  0.1467  0.8533  0.7500
O  0.2117  0.5805  0.4208
O  0.2832  0.3258  0.9741
O  0.3258  0.2832  0.4741
O  0.4174  0.4537  0.8378
O  0.4195  0.7883  0.0792
O  0.4537  0.4174  0.3378
O  0.4581  0.8655  0.3209
O  0.5419  0.1345  0.6791
O  0.5463  0.5826  0.6622
O  0.5805  0.2117  0.9208
O  0.5826  0.5463  0.1622
O  0.6742  0.7168  0.5259
O  0.7168  0.6742  0.0259
O  0.7883  0.4195  0.5792
O  0.8533  0.1467  0.2500
O  0.8655  0.4581  0.8209
O  0.8918  0.0231  0.8287
O  0.9769  0.1082  0.6713

***

(3)
Calculated PXRD pattern of KCeTaO5 for a wavelength of 1.5418 Å, from a DFT-relaxed cell (GGA-PBE, Alexandria).

Most intense lines, 2θ from 10° to 80°, by angle:
Position (°2θ), I_rel
15.88, 63
22.32, 31
23.72, 78
25.14, 76
29.00, 100
29.72, 55
32.08, 30
46.76, 28

Structural model:
a = 6.4274 Å, b = 6.4274 Å, c = 8.1277 Å
α = 104.21°, β = 104.21°, γ = 105.78°
Atoms (fractional coordinates):
K  0.1743  0.8257  0.7500
K  0.8257  0.1743  0.2500
Ce  0.5000  0.5000  0.0000
Ce  0.5000  0.5000  0.5000
Ta  0.1834  0.8166  0.2500
Ta  0.8166  0.1834  0.7500
O  0.1154  0.2620  0.9028
O  0.1974  0.6198  0.3860
O  0.2620  0.1154  0.4028
O  0.3802  0.8026  0.1140
O  0.4379  0.5621  0.7500
O  0.5621  0.4379  0.2500
O  0.6198  0.1974  0.8860
O  0.7380  0.8846  0.5972
O  0.8026  0.3802  0.6140
O  0.8846  0.7380  0.0972

***

(4)
Calculated PXRD pattern of Ac4Ir for a wavelength of 1.5418 Å, from a DFT-relaxed cell (GGA-PBE, Alexandria).

Most intense lines, 2θ from 10° to 80°, by angle:
Position (°2θ), I_rel
17.74, 20
25.80, 25
27.79, 100
27.96, 49
35.91, 35
43.46, 30
46.74, 25
52.17, 18

Structural model:
a = 8.3299 Å, b = 8.3299 Å, c = 6.9066 Å
α = 90.00°, β = 90.00°, γ = 119.48°
Atoms (fractional coordinates):
Ac  0.1639  0.3361  0.7500
Ac  0.1693  0.8307  0.7588
Ac  0.3307  0.6693  0.2588
Ac  0.3361  0.1639  0.2500
Ac  0.6639  0.8361  0.7500
Ac  0.6693  0.3307  0.7412
Ac  0.8307  0.1693  0.2412
Ac  0.8361  0.6639  0.2500
Ir  0.0000  0.0000  0.0000
Ir  0.5000  0.5000  0.5000

***

(5)
Calculated PXRD pattern of Tm3Ru2 for a wavelength of 1.5418 Å, from a DFT-relaxed cell (GGA-PBE, Alexandria).

Most intense lines, 2θ from 10° to 80°, by angle:
Position (°2θ), I_rel
29.22, 44
32.10, 58
32.46, 32
33.77, 46
35.91, 36
37.49, 100
42.94, 43
58.00, 34

Structural model:
a = 5.8667 Å, b = 5.8667 Å, c = 9.7211 Å
α = 90.00°, β = 90.00°, γ = 137.92°
Atoms (fractional coordinates):
Tm  0.0939  0.9061  0.7500
Tm  0.3530  0.6470  0.5632
Tm  0.3530  0.6470  0.9368
Tm  0.6470  0.3530  0.0632
Tm  0.6470  0.3530  0.4368
Tm  0.9061  0.0939  0.2500
Ru  0.0000  0.0000  0.0000
Ru  0.0000  0.0000  0.5000
Ru  0.1945  0.8055  0.2500
Ru  0.8055  0.1945  0.7500

***

(6)
Calculated PXRD pattern of Nd3Sm7Mg for a wavelength of 1.5418 Å, from a DFT-relaxed cell (GGA-PBE, Alexandria).

Most intense lines, 2θ from 10° to 80°, by angle:
Position (°2θ), I_rel
28.14, 29
30.06, 71
31.45, 32
32.19, 61
32.26, 100
32.34, 42
54.76, 35
61.39, 26

Structural model:
a = 8.5299 Å, b = 8.5299 Å, c = 5.9461 Å
α = 110.34°, β = 110.34°, γ = 83.65°
Atoms (fractional coordinates):
Nd  0.0000  0.0000  0.0000
Nd  0.2089  0.7911  0.5000
Nd  0.7911  0.2089  0.5000
Sm  0.0162  0.5989  0.8072
Sm  0.2172  0.2172  0.7178
Sm  0.4011  0.9838  0.1928
Sm  0.5000  0.5000  0.5000
Sm  0.5989  0.0162  0.8072
Sm  0.7827  0.7827  0.2822
Sm  0.9838  0.4011  0.1928
Mg  0.5000  0.5000  0.0000

***

(7)
Calculated PXRD pattern of Ba2La2Sn15 for a wavelength of 1.5418 Å, from a DFT-relaxed cell (GGA-PBE, Alexandria).

Most intense lines, 2θ from 10° to 80°, by angle:
Position (°2θ), I_rel
27.59, 89
29.18, 37
29.44, 36
31.36, 83
32.77, 100
33.82, 81
37.01, 87
56.98, 36

Structural model:
a = 8.6194 Å, b = 8.6194 Å, c = 8.6194 Å
α = 75.91°, β = 75.91°, γ = 75.91°
Atoms (fractional coordinates):
Ba  0.1490  0.1490  0.1490
Ba  0.8510  0.8510  0.8510
La  0.3918  0.3918  0.3918
La  0.6082  0.6082  0.6082
Sn  0.0000  0.5000  0.5000
Sn  0.1290  0.1290  0.6338
Sn  0.1290  0.6338  0.1290
Sn  0.2111  0.5000  0.7889
Sn  0.2111  0.7889  0.5000
Sn  0.3662  0.8710  0.8710
Sn  0.5000  0.0000  0.5000
Sn  0.5000  0.2111  0.7889
Sn  0.5000  0.5000  0.0000
Sn  0.5000  0.7889  0.2111
Sn  0.6338  0.1290  0.1290
Sn  0.7889  0.2111  0.5000
Sn  0.7889  0.5000  0.2111
Sn  0.8710  0.3662  0.8710
Sn  0.8710  0.8710  0.3662

***

(8)
Calculated PXRD pattern of ErCu2Ni6 for a wavelength of 1.5418 Å, from a DFT-relaxed cell (GGA-PBE, Alexandria).

Most intense lines, 2θ from 10° to 80°, by angle:
Position (°2θ), I_rel
14.27, 19
29.85, 20
38.09, 83
42.79, 83
43.76, 50
45.45, 100
46.02, 61
56.72, 28

Structural model:
a = 7.2172 Å, b = 7.2172 Å, c = 7.2172 Å
α = 158.00°, β = 123.48°, γ = 61.39°
Atoms (fractional coordinates):
Er  0.0000  0.0000  0.0000
Cu  0.3537  0.8537  0.5000
Cu  0.6463  0.1463  0.5000
Ni  0.0042  0.3222  0.6821
Ni  0.3318  0.5000  0.8318
Ni  0.3599  0.6778  0.6821
Ni  0.6401  0.3222  0.3179
Ni  0.6682  0.5000  0.1682
Ni  0.9958  0.6778  0.3179

***

(9)
Calculated PXRD pattern of AgGePd2 for a wavelength of 1.5418 Å, from a DFT-relaxed cell (GGA-PBE, Alexandria).

Most intense lines, 2θ from 10° to 80°, by angle:
Position (°2θ), I_rel
21.71, 2
32.13, 1
39.11, 100
44.24, 35
47.85, 14
64.36, 11
67.20, 19
77.95, 25

Structural model:
a = 4.0945 Å, b = 4.0945 Å, c = 3.8019 Å
α = 90.00°, β = 90.00°, γ = 90.00°
Atoms (fractional coordinates):
Ag  0.0000  0.0000  0.0000
Ge  0.5000  0.5000  0.0000
Pd  0.0000  0.5000  0.5000
Pd  0.5000  0.0000  0.5000

***

(10)
Calculated PXRD pattern of Pm4HgS3 for a wavelength of 1.5418 Å, from a DFT-relaxed cell (GGA-PBE, Alexandria).

Most intense lines, 2θ from 10° to 80°, by angle:
Position (°2θ), I_rel
30.60, 100
43.35, 12
43.80, 49
44.38, 12
53.95, 13
54.84, 13
72.22, 11
72.36, 10

Structural model:
a = 7.1898 Å, b = 7.1898 Å, c = 4.0820 Å
α = 90.00°, β = 90.00°, γ = 109.01°
Atoms (fractional coordinates):
Pm  0.2329  0.2329  0.5000
Pm  0.2422  0.7578  0.0000
Pm  0.7578  0.2422  0.0000
Pm  0.7671  0.7671  0.5000
Hg  0.5000  0.5000  0.0000
S  0.0000  0.0000  0.0000
S  0.0000  0.5000  0.5000
S  0.5000  0.0000  0.5000

***

(11)
Calculated PXRD pattern of Sm2ZnAs3Rh4 for a wavelength of 1.5418 Å, from a DFT-relaxed cell (GGA-PBE, Alexandria).

Most intense lines, 2θ from 10° to 80°, by angle:
Position (°2θ), I_rel
33.78, 56
34.94, 100
43.17, 57
49.35, 28
55.91, 26
62.70, 18
67.62, 22
73.84, 23

Structural model:
a = 4.1910 Å, b = 4.1910 Å, c = 10.2863 Å
α = 90.00°, β = 90.00°, γ = 90.00°
Atoms (fractional coordinates):
Sm  0.0000  0.5000  0.2471
Sm  0.5000  0.0000  0.7529
Zn  0.5000  0.5000  0.0000
As  0.0000  0.0000  0.0000
As  0.0000  0.5000  0.6364
As  0.5000  0.0000  0.3636
Rh  0.0000  0.0000  0.5000
Rh  0.0000  0.5000  0.8685
Rh  0.5000  0.0000  0.1315
Rh  0.5000  0.5000  0.5000

***

(12)
Calculated PXRD pattern of Na6ZnGe2 for a wavelength of 1.5418 Å, from a DFT-relaxed cell (GGA-PBE, Alexandria).

Most intense lines, 2θ from 10° to 80°, by angle:
Position (°2θ), I_rel
19.59, 74
20.33, 23
33.81, 100
37.33, 38
40.18, 20
51.90, 18
60.49, 17
62.81, 15

Structural model:
a = 9.9167 Å, b = 9.9167 Å, c = 9.9167 Å
α = 31.01°, β = 31.01°, γ = 31.01°
Atoms (fractional coordinates):
Na  0.0771  0.0771  0.0771
Na  0.2013  0.2013  0.2013
Na  0.3089  0.3089  0.3089
Na  0.6911  0.6911  0.6911
Na  0.7987  0.7987  0.7987
Na  0.9229  0.9229  0.9229
Zn  0.5000  0.5000  0.5000
Ge  0.4145  0.4145  0.4145
Ge  0.5855  0.5855  0.5855

***

(13)
Calculated PXRD pattern of Y3Cd2Pd for a wavelength of 1.5418 Å, from a DFT-relaxed cell (GGA-PBE, Alexandria).

Most intense lines, 2θ from 10° to 80°, by angle:
Position (°2θ), I_rel
34.46, 100
34.67, 24
34.81, 25
49.94, 17
61.55, 16
62.00, 16
62.18, 17
72.65, 10

Structural model:
a = 5.1544 Å, b = 7.4209 Å, c = 8.1788 Å
α = 90.00°, β = 108.35°, γ = 90.00°
Atoms (fractional coordinates):
Y  0.0000  0.2409  0.0000
Y  0.0000  0.7591  0.0000
Y  0.3279  0.2307  0.6562
Y  0.3279  0.7693  0.6562
Y  0.6721  0.2307  0.3438
Y  0.6721  0.7693  0.3438
Cd  0.1667  0.5000  0.3332
Cd  0.5000  0.0000  0.0000
Cd  0.5000  0.5000  0.0000
Cd  0.8333  0.5000  0.6669
Pd  0.1547  0.0000  0.3083
Pd  0.8453  0.0000  0.6917